This entry pairs a crystal structure of Cu2C4NCl5 with its simulated powder XRD pattern. Radiation: Cu Kα (weighted mean of Kα1 and Kα2). Structure: a cell relaxed with GGA-PBE.
Intensities are scaled so that the largest is 100.

```
data_Cu2C4NCl5
_chemical_formula_sum 'Cu8 C16 N4 Cl20'
_space_group_name_H-M_alt 'P 1'
_space_group_IT_number 1
_space_group_name_Hall 'P 1'
_cell_length_a 6.1004
_cell_length_b 18.1678
_cell_length_c 10.6219
_cell_angle_alpha 90.00
_cell_angle_beta 100.23
_cell_angle_gamma 90.00
loop_
_atom_site_label
_atom_site_type_symbol
_atom_site_fract_x
_atom_site_fract_y
_atom_site_fract_z
Cu1 Cu 0.1191 0.0932 0.3052
Cu2 Cu 0.1191 0.4068 0.8052
Cu3 Cu 0.3225 0.5366 0.0926
Cu4 Cu 0.3225 0.9634 0.5926
Cu5 Cu 0.6775 0.0366 0.4074
Cu6 Cu 0.6775 0.4634 0.9074
Cu7 Cu 0.8809 0.5932 0.1948
Cu8 Cu 0.8809 0.9068 0.6948
C1 C 0.2496 0.6202 0.5649
C2 C 0.2496 0.8798 0.0649
C3 C 0.3437 0.6560 0.6800
C4 C 0.3437 0.8440 0.1800
C5 C 0.4045 0.6908 0.5316
C6 C 0.4045 0.8092 0.0316
C7 C 0.4639 0.1899 0.8475
C8 C 0.4639 0.3101 0.3475
C9 C 0.5361 0.6899 0.6525
C10 C 0.5361 0.8101 0.1525
C11 C 0.5955 0.1908 0.9684
C12 C 0.5955 0.3092 0.4684
C13 C 0.6563 0.1560 0.8200
C14 C 0.6563 0.3440 0.3200
C15 C 0.7504 0.1202 0.9351
C16 C 0.7504 0.3798 0.4351
N1 N 0.2352 0.6562 0.4521
N2 N 0.2352 0.8438 0.9521
N3 N 0.7648 0.1562 0.0479
N4 N 0.7648 0.3438 0.5479
Cl1 Cl 0.0597 0.0153 0.6906
Cl2 Cl 0.0597 0.4847 0.1906
Cl3 Cl 0.1280 0.6480 0.0991
Cl4 Cl 0.1280 0.8520 0.5991
Cl5 Cl 0.2591 0.2419 0.7679
Cl6 Cl 0.2591 0.2581 0.2679
Cl7 Cl 0.3751 0.0649 0.1993
Cl8 Cl 0.3751 0.4351 0.6993
Cl9 Cl 0.4497 0.0803 0.5400
Cl10 Cl 0.4497 0.4197 0.0400
Cl11 Cl 0.5503 0.5803 0.9600
Cl12 Cl 0.5503 0.9197 0.4600
Cl13 Cl 0.6249 0.5649 0.3007
Cl14 Cl 0.6249 0.9351 0.8007
Cl15 Cl 0.7409 0.7419 0.7321
Cl16 Cl 0.7409 0.7581 0.2321
Cl17 Cl 0.8720 0.1480 0.4009
Cl18 Cl 0.8720 0.3520 0.9009
Cl19 Cl 0.9403 0.5153 0.8094
Cl20 Cl 0.9403 0.9847 0.3094
```

The 10 most intense peaks (10° ≤ 2θ ≤ 80°), by angle:
Position (°2θ), d_spacing, Rel. int.
12.91, 6.857, 100.0
16.93, 5.237, 47.9
17.66, 5.023, 43.9
21.33, 4.166, 47.2
24.49, 3.635, 42.1
24.98, 3.565, 39.7
26.41, 3.375, 37.3
28.68, 3.113, 30.6
29.21, 3.057, 24.5
32.29, 2.772, 74.8